(1)
The following is a computed XRD peak list of Ba3ZrCd2O8. It was derived from a crystal structure in Alexandria, relaxed with GGA-PBE, using λ = 1.5418 Å (Cu Kα).
No peak broadening, texture or thermal motion is included.

Top 10 peaks for 2θ from 15° to 90°, sorted by position:
d_spacing  I/Imax
3.178  79
3.045  100
2.372  15
2.199  42
1.863  14
1.783  30
1.758  20
1.589  12
1.523  16
1.373  13

Structural model:
Cell lengths 6.090, 6.090, 7.966 Å; angles 90.00, 90.00, 120.00 degrees
Fractional positions:
Ba1 0.000 0.000 0.000
Ba2 0.333 0.667 0.626
Ba3 0.667 0.333 0.374
Zr1 0.000 0.000 0.500
Cd1 0.333 0.667 0.193
Cd2 0.667 0.333 0.807
O1 0.159 0.318 0.341
O2 0.159 0.841 0.341
O3 0.318 0.159 0.659
O4 0.333 0.667 0.936
O5 0.667 0.333 0.064
O6 0.682 0.841 0.341
O7 0.841 0.159 0.659
O8 0.841 0.682 0.659

=====

(2)
The following is a computed XRD peak list of Ba3CdP3. It was derived from a crystal structure in Alexandria, relaxed with GGA-PBE, using λ = 1.5418 Å (Cu Kα).
No peak broadening, texture or thermal motion is included.

Top 10 peaks for 2θ from 15° to 90°, sorted by position:
d_spacing  I/Imax
3.890  100
3.667  39
3.441  17
3.346  61
3.329  31
3.161  30
2.397  45
2.392  45
2.358  59
1.817  20

Structural model:
Cell lengths 10.596, 10.596, 13.315 Å; angles 90.00, 90.00, 37.89 degrees
Fractional positions:
Ba1 0.019 0.631 0.132
Ba2 0.131 0.519 0.632
Ba3 0.181 0.819 0.851
Ba4 0.319 0.681 0.351
Ba5 0.369 0.981 0.132
Ba6 0.481 0.869 0.632
Ba7 0.519 0.131 0.368
Ba8 0.631 0.019 0.868
Ba9 0.681 0.319 0.649
Ba10 0.819 0.181 0.149
Ba11 0.869 0.481 0.368
Ba12 0.981 0.369 0.868
Cd1 0.084 0.084 0.500
Cd2 0.416 0.416 0.000
Cd3 0.584 0.584 0.000
Cd4 0.916 0.916 0.500
P1 0.049 0.629 0.380
P2 0.129 0.549 0.880
P3 0.219 0.781 0.605
P4 0.281 0.719 0.105
P5 0.371 0.951 0.380
P6 0.451 0.871 0.880
P7 0.549 0.129 0.120
P8 0.629 0.049 0.620
P9 0.719 0.281 0.895
P10 0.781 0.219 0.395
P11 0.871 0.451 0.120
P12 0.951 0.371 0.620

=====

(3)
The following is a computed XRD peak list of Ba2Cd2P. It was derived from a crystal structure in Alexandria, relaxed with GGA-PBE, using λ = 1.5418 Å (Cu Kα).
No peak broadening, texture or thermal motion is included.

Top 10 peaks for 2θ from 15° to 90°, sorted by position:
d_spacing  I/Imax
3.994  63
3.421  59
2.891  46
2.772  100
2.511  51
2.380  29
2.036  35
1.916  25
1.750  34
1.671  19

Structural model:
Cell lengths 10.660, 10.660, 10.660 Å; angles 157.98, 157.98, 31.34 degrees
Fractional positions:
Ba1 0.082 0.082 0.000
Ba2 0.918 0.918 0.000
Cd1 0.250 0.750 0.500
Cd2 0.750 0.250 0.500
P1 0.500 0.500 0.000

=====

(4)
The following is a computed XRD peak list of Ba2Cd5Pb. It was derived from a crystal structure in Alexandria, relaxed with GGA-PBE, using λ = 1.5418 Å (Cu Kα).
No peak broadening, texture or thermal motion is included.

Top 10 peaks for 2θ from 15° to 90°, sorted by position:
d_spacing  I/Imax
3.600  47
3.159  100
3.032  79
2.840  49
2.662  47
2.606  76
2.583  23
2.308  46
1.862  33
1.727  24

Structural model:
Cell lengths 9.676, 9.676, 10.332 Å; angles 90.00, 90.00, 148.75 degrees
Fractional positions:
Ba1 0.000 0.000 0.000
Ba2 0.000 0.000 0.500
Ba3 0.203 0.797 0.750
Ba4 0.797 0.203 0.250
Cd1 0.186 0.814 0.108
Cd2 0.186 0.814 0.392
Cd3 0.345 0.655 0.017
Cd4 0.345 0.655 0.483
Cd5 0.400 0.600 0.750
Cd6 0.600 0.400 0.250
Cd7 0.655 0.345 0.517
Cd8 0.655 0.345 0.983
Cd9 0.814 0.186 0.608
Cd10 0.814 0.186 0.892
Pb1 0.441 0.559 0.250
Pb2 0.559 0.441 0.750

=====

(5)
The following is a computed XRD peak list of Ba5Cd2Pb5. It was derived from a crystal structure in Alexandria, relaxed with GGA-PBE, using λ = 1.5418 Å (Cu Kα).
No peak broadening, texture or thermal motion is included.

Top 10 peaks for 2θ from 15° to 90°, sorted by position:
d_spacing  I/Imax
3.654  35
3.095  54
3.080  100
3.047  68
2.981  48
2.952  69
2.829  27
2.669  71
1.942  22
1.619  23

Structural model:
Cell lengths 9.679, 9.679, 11.319 Å; angles 124.46, 124.46, 32.01 degrees
Fractional positions:
Ba1 0.000 0.000 0.000
Ba2 0.138 0.138 0.447
Ba3 0.154 0.154 0.841
Ba4 0.846 0.846 0.159
Ba5 0.862 0.862 0.553
Cd1 0.346 0.346 0.822
Cd2 0.654 0.654 0.178
Pb1 0.262 0.262 0.265
Pb2 0.488 0.488 0.191
Pb3 0.500 0.500 0.500
Pb4 0.512 0.512 0.809
Pb5 0.738 0.738 0.735

=====

(6)
The following is a computed XRD peak list of Ba2CdPb3. It was derived from a crystal structure in Alexandria, relaxed with GGA-PBE, using λ = 1.5418 Å (Cu Kα).
No peak broadening, texture or thermal motion is included.

Top 10 peaks for 2θ from 15° to 90°, sorted by position:
d_spacing  I/Imax
3.341  61
3.131  57
3.107  27
3.055  45
2.784  100
2.640  30
2.606  57
1.855  21
1.701  21
1.536  36

Structural model:
Cell lengths 6.821, 6.821, 8.352 Å; angles 125.02, 125.02, 44.93 degrees
Fractional positions:
Ba1 0.000 0.000 0.000
Ba2 0.105 0.105 0.611
Cd1 0.390 0.390 0.227
Pb1 0.390 0.390 0.604
Pb2 0.700 0.700 0.381
Pb3 0.732 0.732 0.031

=====

> Number 1 is which compound?

Ba3ZrCd2O8

=====

> Number 1 is which compound?

Ba3ZrCd2O8

=====

Repeat the first record exactly.
The following is a computed XRD peak list of Ba3ZrCd2O8. It was derived from a crystal structure in Alexandria, relaxed with GGA-PBE, using λ = 1.5418 Å (Cu Kα).
No peak broadening, texture or thermal motion is included.

Top 10 peaks for 2θ from 15° to 90°, sorted by position:
d_spacing  I/Imax
3.178  79
3.045  100
2.372  15
2.199  42
1.863  14
1.783  30
1.758  20
1.589  12
1.523  16
1.373  13

Structural model:
Cell lengths 6.090, 6.090, 7.966 Å; angles 90.00, 90.00, 120.00 degrees
Fractional positions:
Ba1 0.000 0.000 0.000
Ba2 0.333 0.667 0.626
Ba3 0.667 0.333 0.374
Zr1 0.000 0.000 0.500
Cd1 0.333 0.667 0.193
Cd2 0.667 0.333 0.807
O1 0.159 0.318 0.341
O2 0.159 0.841 0.341
O3 0.318 0.159 0.659
O4 0.333 0.667 0.936
O5 0.667 0.333 0.064
O6 0.682 0.841 0.341
O7 0.841 0.159 0.659
O8 0.841 0.682 0.659